Entry 1:
Starting from a DFT-relaxed cell (GGA-PBE, OQMD), the XRD peak list of Hf2Cd3W4N3 was simulated for CuKα.
Intensities are scaled so that the largest is 100.

Top 12 peaks for 2θ from 10° to 90°, by angle:
hkl	d/Å	I/Imax
0 0 2	6.976	34
0 2 0	2.760	23
3 1 -1	2.741	40
0 2 3	2.374	93
3 1 2	2.367	100
3 1 -4	2.356	92
0 0 6	2.325	56
0 2 6	1.778	27
3 3 -1	1.590	32
6 0 -2	1.579	17
3 3 5	1.314	25
6 0 4	1.310	21

Cell and atoms:
Unit cell a=9.473 b=5.520 c=14.287 alpha=90.00 beta=102.42 gamma=90.00
Space group C2/c (No. 15)
Symmetry-distinct sites (fractional):
Hf (0.056, 0.085, 0.403) x8
Cd (0.000, 0.486, 0.250) x4
Cd (0.201, 0.122, 0.746) x8
W (0.109, 0.434, 0.573) x8
W (0.217, 0.410, 0.927) x8
N (0.074, 0.224, 0.000) x8
N (0.250, 0.250, 0.500) x4



Entry 2:
Starting from a DFT-relaxed cell (GGA-PBE, OQMD), the XRD peak list of DyY2Co2Ni7 was simulated for CuKα.
Intensities are scaled so that the largest is 100.

Top 12 peaks for 2θ from 10° to 90°, by angle:
hkl	d/Å	I/Imax
1 0 7	2.703	32
0 1 8	2.483	31
1 1 0	2.474	34
0 2 1	2.134	33
1 1 6	2.112	100
0 0 12	2.031	16
2 0 5	1.961	13
1 1 9	1.826	11
3 0 0	1.429	16
2 0 14	1.351	10
3 0 6	1.347	19
2 2 0	1.237	18

Cell and atoms:
Unit cell a=4.9480 b=4.9480 c=24.3699 alpha=90.00 beta=90.00 gamma=120.00
Space group R-3m (No. 166, hexagonal axes)
Symmetry-distinct sites (fractional):
Dy (0.0000, 0.0000, 0.0000) x3
Y (0.0000, 0.0000, 0.1385) x6
Co (0.0000, 0.0000, 0.3329) x6
Ni (0.0000, 0.0000, 0.5000) x3
Ni (0.9997, 0.4999, 0.0811) x18



Entry 3:
Starting from a DFT-relaxed cell (GGA-PBE, OQMD), the XRD peak list of Y2Si3Hg2 was simulated for CuKα.
Intensities are scaled so that the largest is 100.

Top 12 peaks for 2θ from 10° to 90°, by angle:
hkl	d/Å	I/Imax
0 1 2	3.644	19
1 0 4	3.350	100
0 1 5	3.171	38
1 0 7	2.805	63
0 1 8	2.632	25
0 1 11	2.183	41
1 1 0	2.171	72
0 2 4	1.822	18
1 1 9	1.810	14
0 2 7	1.717	15
1 1 15	1.457	16
2 1 4	1.396	15

Cell and atoms:
Unit cell a=4.3423 b=4.3423 c=29.4890 alpha=90.00 beta=90.00 gamma=120.00
Space group R3m (No. 160, hexagonal axes)
Symmetry-distinct sites (fractional):
Y (0.0000, 0.0000, 0.0000) x3
Y (0.0000, 0.0000, 0.4810) x3
Si (0.0000, 0.0000, 0.3811) x3
Si (0.0000, 0.0000, 0.5999) x3
Si (0.0000, 0.0000, 0.9027) x3
Hg (0.0000, 0.0000, 0.2006) x3
Hg (0.0000, 0.0000, 0.7491) x3



Entry 4:
Starting from a DFT-relaxed cell (GGA-PBE, OQMD), the XRD peak list of Gd2Dy2BI5 was simulated for CuKα.
Intensities are scaled so that the largest is 100.

Top 12 peaks for 2θ from 10° to 90°, by angle:
hkl	d/Å	I/Imax
0 0 1	8.514	28
3 1 -1	3.309	15
6 0 0	3.152	43
3 1 1	3.052	20
1 1 -2	2.974	100
5 1 0	2.769	34
2 0 3	2.570	12
2 0 -4	2.179	15
5 1 2	2.171	26
7 1 -2	2.156	26
0 2 0	2.035	19
6 2 0	1.709	14

Cell and atoms:
Unit cell a=19.366 b=4.069 c=8.717 alpha=90.00 beta=102.40 gamma=90.00
Space group C2/m (No. 12)
Symmetry-distinct sites (fractional):
Gd (0.001, 0.000, 0.303) x4
Dy (0.132, 0.500, 0.567) x4
B (0.000, 0.500, 0.500) x2
I (0.000, 0.500, 0.000) x2
I (0.164, 0.000, 0.837) x4
I (0.169, 0.000, 0.328) x4